1.
This entry pairs a crystal structure of Ag2IO6 with its simulated powder diffraction line list. Radiation: Cu Kα. Structure: the PBE geometry in the Materials Project.

Crystal structure
a = 5.891 Å, b = 5.891 Å, c = 5.891 Å
α = 58.39°, β = 58.39°, γ = 58.39°
Element x y z (fractional)
Ag 0.209 0.209 0.209
Ag 0.791 0.791 0.791
I 0.000 0.000 0.000
O 0.075 0.347 0.819
O 0.181 0.925 0.653
O 0.347 0.819 0.075
O 0.653 0.181 0.925
O 0.819 0.075 0.347
O 0.925 0.653 0.181

Largest 8 diffraction maxima, in order of rising 2θ, 2θ = 5–70°:
d_spacing	I_rel
4.711	100
2.944	38
2.874	63
2.519	46
1.894	25
1.672	17
1.659	19
1.582	27

***

2.
This entry pairs a crystal structure of AgIO3 with its simulated powder diffraction line list. Radiation: Cu Kα. Structure: the PBE geometry in the Materials Project.

Crystal structure
a = 5.912 Å, b = 6.299 Å, c = 17.396 Å
α = 90.00°, β = 90.00°, γ = 90.00°
Element x y z (fractional)
Ag 0.017 0.213 0.040
Ag 0.017 0.287 0.540
Ag 0.483 0.713 0.040
Ag 0.483 0.787 0.540
Ag 0.517 0.213 0.460
Ag 0.517 0.287 0.960
Ag 0.983 0.713 0.460
Ag 0.983 0.787 0.960
I 0.014 0.190 0.339
I 0.014 0.310 0.839
I 0.486 0.690 0.339
I 0.486 0.810 0.839
I 0.514 0.190 0.161
I 0.514 0.310 0.661
I 0.986 0.690 0.161
I 0.986 0.810 0.661
O 0.143 0.096 0.431
O 0.143 0.404 0.931
O 0.158 0.599 0.614
O 0.158 0.901 0.114
O 0.244 0.159 0.795
O 0.244 0.341 0.295
O 0.256 0.659 0.795
O 0.256 0.841 0.295
O 0.342 0.099 0.614
O 0.342 0.401 0.114
O 0.357 0.596 0.431
O 0.357 0.904 0.931
O 0.643 0.096 0.069
O 0.643 0.404 0.569
O 0.658 0.599 0.886
O 0.658 0.901 0.386
O 0.744 0.159 0.705
O 0.744 0.341 0.205
O 0.756 0.659 0.705
O 0.756 0.841 0.205
O 0.842 0.099 0.886
O 0.842 0.401 0.386
O 0.857 0.596 0.069
O 0.857 0.904 0.569

Largest 8 diffraction maxima, in order of rising 2θ, 2θ = 5–70°:
d_spacing	I_rel
3.862	23
3.149	31
3.062	100
2.956	33
2.406	30
2.155	21
1.873	20
1.726	20

***

3.
This entry pairs a crystal structure of AgIO2 with its simulated powder diffraction line list. Radiation: Cu Kα. Structure: the PBE geometry in the Materials Project.

Crystal structure
a = 7.610 Å, b = 7.610 Å, c = 7.610 Å
α = 128.83°, β = 128.83°, γ = 75.28°
Element x y z (fractional)
Ag 0.000 0.000 0.000
Ag 0.000 0.000 0.500
Ag 0.000 0.500 0.000
Ag 0.500 0.000 0.500
I 0.000 0.500 0.500
I 0.500 0.000 0.000
I 0.500 0.500 0.000
I 0.500 0.500 0.500
O 0.196 0.236 0.539
O 0.196 0.657 0.961
O 0.236 0.196 0.039
O 0.343 0.804 0.539
O 0.657 0.196 0.461
O 0.764 0.804 0.961
O 0.804 0.343 0.039
O 0.804 0.764 0.461

Largest 8 diffraction maxima, in order of rising 2θ, 2θ = 5–70°:
d_spacing	I_rel
3.013	38
2.885	100
2.324	42
1.840	34
1.714	28
1.643	13
1.443	15
1.428	24

***

4.
This entry pairs a crystal structure of AgIO4 with its simulated powder diffraction line list. Radiation: Cu Kα. Structure: the PBE geometry in the Materials Project.

Crystal structure
a = 7.186 Å, b = 7.186 Å, c = 7.186 Å
α = 135.43°, β = 135.43°, γ = 64.86°
Element x y z (fractional)
Ag 0.375 0.125 0.250
Ag 0.625 0.875 0.750
I 0.125 0.375 0.750
I 0.875 0.625 0.250
O 0.059 0.694 0.840
O 0.194 0.854 0.636
O 0.282 0.441 0.136
O 0.354 0.218 0.660
O 0.646 0.782 0.340
O 0.718 0.559 0.864
O 0.806 0.146 0.364
O 0.941 0.306 0.160

Largest 8 diffraction maxima, in order of rising 2θ, 2θ = 5–70°:
d_spacing	I_rel
3.253	100
3.033	15
2.725	20
2.027	29
1.927	12
1.790	17
1.658	26
1.626	12

***

5.
This entry pairs a crystal structure of Ag2IO6 with its simulated powder diffraction line list. Radiation: Cu Kα. Structure: the PBE geometry in the Materials Project.

Crystal structure
a = 3.974 Å, b = 6.940 Å, c = 7.438 Å
α = 103.30°, β = 92.04°, γ = 96.52°
Element x y z (fractional)
Ag 0.211 0.346 0.376
Ag 0.789 0.654 0.624
I 0.500 0.000 0.000
O 0.155 0.072 0.195
O 0.279 0.624 0.562
O 0.407 0.549 0.053
O 0.593 0.451 0.947
O 0.721 0.376 0.438
O 0.845 0.928 0.805

Largest 8 diffraction maxima, in order of rising 2θ, 2θ = 5–70°:
d_spacing	I_rel
5.617	100
3.370	27
3.225	14
3.137	14
2.808	20
2.798	15
2.751	14
2.726	10

***

6.
This entry pairs a crystal structure of Ag2IO5 with its simulated powder diffraction line list. Radiation: Cu Kα. Structure: the PBE geometry in the Materials Project.

Crystal structure
a = 5.995 Å, b = 8.028 Å, c = 10.888 Å
α = 90.00°, β = 117.36°, γ = 90.00°
Element x y z (fractional)
Ag 0.041 0.138 0.143
Ag 0.041 0.362 0.643
Ag 0.241 0.588 0.170
Ag 0.241 0.912 0.670
Ag 0.759 0.088 0.330
Ag 0.759 0.412 0.830
Ag 0.959 0.638 0.357
Ag 0.959 0.862 0.857
I 0.379 0.185 0.962
I 0.379 0.315 0.462
I 0.621 0.685 0.538
I 0.621 0.815 0.038
O 0.111 0.084 0.801
O 0.111 0.416 0.301
O 0.143 0.203 0.505
O 0.143 0.297 0.005
O 0.345 0.735 0.886
O 0.345 0.765 0.386
O 0.371 0.520 0.568
O 0.371 0.980 0.068
O 0.409 0.159 0.341
O 0.409 0.341 0.841
O 0.591 0.659 0.159
O 0.591 0.841 0.659
O 0.629 0.020 0.932
O 0.629 0.480 0.432
O 0.655 0.235 0.614
O 0.655 0.265 0.114
O 0.857 0.703 0.995
O 0.857 0.797 0.495
O 0.889 0.584 0.699
O 0.889 0.916 0.199

Largest 8 diffraction maxima, in order of rising 2θ, 2θ = 5–70°:
d_spacing	I_rel
3.707	100
3.092	78
2.818	91
2.795	84
2.781	99
2.722	77
2.672	66
2.280	53